This entry pairs a crystal structure of Mg6CuCO8 with its calculated powder diffractogram. Radiation: Cu Kα, 1.54184 Å. Structure: a crystal structure in the Materials Project, relaxed with PBE.

Cell and atoms:
Cell lengths 4.2093, 4.2093, 8.4999 Å; angles 90.00, 90.00, 90.00 degrees
Space group P4/mmm (No. 123)
Unique sites:
Mg1 0.0000 0.0000 0.0000 (multiplicity 1)
Mg2 0.0000 0.5000 0.2557 (multiplicity 4)
Mg3 0.5000 0.5000 0.0000 (multiplicity 1)
Cu1 0.0000 0.0000 0.5000 (multiplicity 1)
C1 0.5000 0.5000 0.5000 (multiplicity 1)
O1 0.0000 0.0000 0.2498 (multiplicity 2)
O2 0.0000 0.5000 0.0000 (multiplicity 2)
O3 0.0000 0.5000 0.5000 (multiplicity 2)
O4 0.5000 0.5000 0.2507 (multiplicity 2)

Most intense lines, 5° ≤ 2θ ≤ 70°, sorted by position:
| hkl | 2θ (°) | I_rel |
| --- | --- | --- |
| 1 0 1 | 23.6 | 25 |
| 1 1 2 | 36.9 | 25 |
| 0 0 4 | 42.5 | 51 |
| 2 0 0 | 43.0 | 100 |
| 2 0 4 | 62.1 | 56 |
| 2 2 0 | 62.4 | 28 |

This entry pairs a crystal structure of Na3SbF6 with its calculated powder diffractogram. Radiation: Cu Kα, 1.54184 Å. Structure: a crystal structure in the Materials Project, relaxed with PBE.

Cell and atoms:
Cell lengths 4.9106, 6.2160, 6.4728 Å; angles 110.47, 108.11, 90.15 degrees
Space group P-1 (No. 2)
Unique sites:
Na1 0.0000 0.0000 0.0000 (multiplicity 1)
Na2 0.0000 0.5000 0.0000 (multiplicity 1)
Na3 0.5000 0.0000 0.5000 (multiplicity 1)
Sb1 0.0000 0.5000 0.5000 (multiplicity 1)
F1 0.0841 0.7591 0.3487 (multiplicity 2)
F2 0.2565 0.7012 0.8779 (multiplicity 2)
F3 0.2928 0.2650 0.3604 (multiplicity 2)

Most intense lines, 5° ≤ 2θ ≤ 70°, sorted by position:
| hkl | 2θ (°) | I_rel |
| --- | --- | --- |
| 0 1 0 | 15.3 | 71 |
| 0 0 1 | 15.5 | 78 |
| 0 1 -1 | 17.3 | 57 |
| 1 0 0 | 19.2 | 100 |
| 1 -1 0 | 23.1 | 59 |
| 1 1 -1 | 23.4 | 51 |

This entry pairs a crystal structure of Ac2TlSn with its calculated powder diffractogram. Radiation: Cu Kα, 1.54184 Å. Structure: a crystal structure in the Materials Project, relaxed with PBE.

Cell and atoms:
Cell lengths 8.2319, 8.2319, 8.2319 Å; angles 90.00, 90.00, 90.00 degrees
Space group Fm-3m (No. 225)
Unique sites:
Ac1 0.2500 0.2500 0.2500 (multiplicity 8)
Tl1 0.0000 0.0000 0.0000 (multiplicity 4)
Sn1 0.0000 0.0000 0.5000 (multiplicity 4)

Most intense lines, 5° ≤ 2θ ≤ 70°, sorted by position:
| hkl | 2θ (°) | I_rel |
| --- | --- | --- |
| 1 1 1 | 18.7 | 2 |
| 2 0 0 | 21.6 | 3 |
| 2 2 0 | 30.7 | 100 |
| 4 0 0 | 44.0 | 19 |
| 4 2 2 | 54.6 | 41 |
| 4 4 0 | 64.0 | 13 |